1.
Ba3CoSb2O9: simulated powder diffraction line list (Cu Kα), based on DFT lattice parameters and positions (GGA+U).

Most intense lines, 10 to 90 degrees two-theta, by angle:
- d 3.548, 2θ = 25.10°, I = 16.0
- d 2.990, 2θ = 29.88°, I = 55.3
- d 2.971, 2θ = 30.07°, I = 100.0
- d 2.552, 2θ = 35.16°, I = 24.2
- d 2.278, 2θ = 39.56°, I = 14.4
- d 2.108, 2θ = 42.90°, I = 27.6
- d 1.937, 2θ = 46.91°, I = 13.0
- d 1.720, 2θ = 53.27°, I = 17.9
- d 1.716, 2θ = 53.40°, I = 23.3
- d 1.486, 2θ = 62.52°, I = 18.8

Atomic structure:
a b c (Å): 15.8402 15.8402 10.2900
angles (deg): 108.82 108.82 21.63
Element x y z (fractional)
Ba  0.0000  0.0000  0.0000
Ba  0.0811  0.0811  0.4138
Ba  0.1632  0.1632  0.1622
Ba  0.2501  0.2501  0.9166
Ba  0.3319  0.3319  0.6646
Ba  0.4134  0.4134  0.0798
Ba  0.4999  0.4999  0.4990
Ba  0.5817  0.5817  0.9145
Ba  0.6630  0.6630  0.6629
Ba  0.7503  0.7503  0.4158
Ba  0.8320  0.8320  0.1646
Ba  0.9133  0.9133  0.5787
Co  0.2066  0.2066  0.5394
Co  0.4567  0.4567  0.7894
Co  0.7067  0.7067  0.0394
Co  0.9566  0.9566  0.2893
Sb  0.0326  0.0326  0.6988
Sb  0.1307  0.1307  0.7968
Sb  0.2826  0.2826  0.2818
Sb  0.3806  0.3806  0.3799
Sb  0.5327  0.5327  0.1988
Sb  0.6307  0.6307  0.2970
Sb  0.7826  0.7826  0.7819
Sb  0.8807  0.8807  0.8800
O  0.0024  0.4951  0.1660
O  0.0538  0.6095  0.9052
O  0.0815  0.0815  0.8960
O  0.1094  0.5539  0.4051
O  0.1611  0.6684  0.8320
O  0.1646  0.1646  0.6664
O  0.1689  0.6604  0.3318
O  0.2449  0.7522  0.7468
O  0.2487  0.2487  0.4124
O  0.2529  0.7445  0.2470
O  0.3038  0.8594  0.6737
O  0.3318  0.3318  0.1827
O  0.3595  0.8039  0.1737
O  0.4107  0.9183  0.9127
O  0.4145  0.4145  0.5778
O  0.4183  0.9109  0.4127
O  0.4951  0.0024  0.1660
O  0.4988  0.4988  0.0010
O  0.5026  0.9949  0.6661
O  0.5539  0.1094  0.4051
O  0.5815  0.5815  0.3959
O  0.6095  0.0538  0.9052
O  0.6604  0.1689  0.3318
O  0.6647  0.6647  0.1662
O  0.6684  0.1611  0.8320
O  0.7445  0.2529  0.2470
O  0.7486  0.7486  0.9126
O  0.7522  0.2449  0.7468
O  0.8039  0.3595  0.1737
O  0.8318  0.8318  0.6829
O  0.8594  0.3038  0.6737
O  0.9109  0.4183  0.4127
O  0.9146  0.9146  0.0781
O  0.9183  0.4107  0.9127
O  0.9949  0.5026  0.6661
O  0.9987  0.9987  0.5007

=====

2.
Li3Mn4O8: simulated powder diffraction line list (Cu Kα), based on DFT lattice parameters and positions (GGA+U).

Most intense lines, 10 to 90 degrees two-theta, by angle:
- d 7.606, 2θ = 11.63°, I = 81.5
- d 7.413, 2θ = 11.94°, I = 92.5
- d 5.719, 2θ = 15.49°, I = 50.7
- d 4.976, 2θ = 17.83°, I = 100.0
- d 3.530, 2θ = 25.23°, I = 51.3
- d 3.208, 2θ = 27.81°, I = 51.7
- d 2.859, 2θ = 31.28°, I = 57.4
- d 2.499, 2θ = 35.93°, I = 47.9
- d 2.431, 2θ = 36.98°, I = 46.1
- d 1.853, 2θ = 49.18°, I = 40.5

Atomic structure:
a b c (Å): 5.7657 9.9552 11.4414
angles (deg): 91.48 90.02 90.02
Element x y z (fractional)
Li  0.0000  0.0000  0.0000
Li  0.0033  0.1945  0.8886
Li  0.2402  0.5971  0.7745
Li  0.2568  0.6588  0.4105
Li  0.4930  0.0609  0.2965
Li  0.4979  0.2556  0.1854
Li  0.5013  0.1811  0.9061
Li  0.5056  0.7832  0.6333
Li  0.7418  0.6626  0.4076
Li  0.7552  0.5932  0.7776
Li  0.9920  0.4730  0.5519
Li  0.9951  0.0746  0.2790
Mn  0.0012  0.4532  0.9682
Mn  0.0022  0.9699  0.7498
Mn  0.2454  0.4690  0.2537
Mn  0.2464  0.9327  0.4701
Mn  0.2515  0.3232  0.7151
Mn  0.2516  0.7865  0.9313
Mn  0.4956  0.2859  0.4354
Mn  0.4956  0.8024  0.2168
Mn  0.4984  0.4543  0.9568
Mn  0.5053  0.9874  0.7576
Mn  0.7477  0.7835  0.9338
Mn  0.7487  0.3217  0.7203
Mn  0.7492  0.4721  0.2512
Mn  0.7490  0.9342  0.4648
Mn  0.9927  0.2686  0.4275
Mn  0.9986  0.8013  0.2282
O  0.0007  0.1945  0.7252
O  0.0017  0.8238  0.0424
O  0.2347  0.3249  0.5330
O  0.2432  0.9950  0.8802
O  0.2473  0.6671  0.2369
O  0.2469  0.9361  0.2460
O  0.2499  0.3195  0.9389
O  0.2495  0.5885  0.9482
O  0.2544  0.2607  0.3050
O  0.2632  0.9312  0.6522
O  0.4953  0.4316  0.1427
O  0.4970  0.0614  0.4599
O  0.4979  0.4950  0.3671
O  0.4977  0.8244  0.0381
O  0.5001  0.1945  0.7333
O  0.4999  0.4575  0.7368
O  0.4998  0.7612  0.8112
O  0.4996  0.7945  0.4631
O  0.7336  0.2422  0.3129
O  0.7446  0.9332  0.2731
O  0.7460  0.6786  0.2319
O  0.7461  0.9293  0.6404
O  0.7508  0.5771  0.9532
O  0.7524  0.3224  0.9119
O  0.7518  0.3268  0.5448
O  0.7642  0.0137  0.8724
O  0.9973  0.4945  0.3738
O  0.9976  0.0615  0.4518
O  0.9980  0.4615  0.7221
O  0.9977  0.7984  0.4484
O  0.9992  0.4310  0.1469
O  0.9992  0.7607  0.8179

=====

3.
NiH2O2: simulated powder diffraction line list (Cu Kα), based on DFT lattice parameters and positions (GGA+U).

Most intense lines, 10 to 90 degrees two-theta, by angle:
- d 4.663, 2θ = 19.03°, I = 100.0
- d 2.730, 2θ = 32.80°, I = 35.5
- d 2.365, 2θ = 38.04°, I = 38.6
- d 2.351, 2θ = 38.29°, I = 63.8
- d 1.782, 2θ = 51.27°, I = 10.7
- d 1.777, 2θ = 51.41°, I = 14.0
- d 1.769, 2θ = 51.68°, I = 20.8
- d 1.576, 2θ = 58.55°, I = 25.1
- d 1.354, 2θ = 69.43°, I = 8.7
- d 1.312, 2θ = 71.96°, I = 7.8

Atomic structure:
a b c (Å): 5.4602 3.1534 4.6630
angles (deg): 90.00 90.58 90.00
Element x y z (fractional)
Ni  0.0000  0.0000  0.0000
Ni  0.5000  0.5000  0.0000
H  0.1677  0.5178  0.4285
H  0.3323  0.0178  0.5715
H  0.6677  0.0178  0.4285
H  0.8323  0.5178  0.5715
O  0.1677  0.5017  0.2203
O  0.3323  0.0017  0.7797
O  0.6677  0.0017  0.2203
O  0.8323  0.5017  0.7797

=====

4.
Li2CrFe3O8: simulated powder diffraction line list (Cu Kα), based on DFT lattice parameters and positions (GGA+U).

Most intense lines, 10 to 90 degrees two-theta, by angle:
- d 4.865, 2θ = 18.23°, I = 100.0
- d 2.541, 2θ = 35.32°, I = 35.0
- d 2.538, 2θ = 35.37°, I = 13.7
- d 2.430, 2θ = 36.99°, I = 8.3
- d 2.106, 2θ = 42.94°, I = 57.4
- d 1.621, 2θ = 56.80°, I = 14.5
- d 1.491, 2θ = 62.25°, I = 17.3
- d 1.488, 2θ = 62.43°, I = 17.1
- d 1.423, 2θ = 65.62°, I = 7.5
- d 1.215, 2θ = 78.76°, I = 6.6

Atomic structure:
a b c (Å): 5.9656 5.9656 5.9656
angles (deg): 59.83 59.83 59.83
Element x y z (fractional)
Li  0.1242  0.1242  0.1242
Li  0.8758  0.8758  0.8758
Cr  0.5000  0.5000  0.5000
Fe  0.0000  0.5000  0.5000
Fe  0.5000  0.0000  0.5000
Fe  0.5000  0.5000  0.0000
O  0.2605  0.2605  0.2605
O  0.2606  0.2606  0.7129
O  0.2606  0.7129  0.2606
O  0.2871  0.7394  0.7394
O  0.7129  0.2606  0.2606
O  0.7394  0.2871  0.7394
O  0.7394  0.7394  0.2871
O  0.7395  0.7395  0.7395

=====

5.
MgV4O10: simulated powder diffraction line list (Cu Kα), based on DFT lattice parameters and positions (GGA+U).

Most intense lines, 10 to 90 degrees two-theta, by angle:
- d 5.165, 2θ = 17.17°, I = 100.0
- d 3.818, 2θ = 23.30°, I = 11.9
- d 3.454, 2θ = 25.79°, I = 32.8
- d 3.304, 2θ = 26.99°, I = 41.4
- d 3.049, 2θ = 29.29°, I = 31.4
- d 2.834, 2θ = 31.57°, I = 17.4
- d 2.583, 2θ = 34.73°, I = 10.2
- d 2.549, 2θ = 35.20°, I = 19.1
- d 1.833, 2θ = 49.76°, I = 17.4
- d 1.519, 2θ = 60.98°, I = 11.8

Atomic structure:
a b c (Å): 11.3343 5.4809 5.4809
angles (deg): 39.07 90.00 90.00
Element x y z (fractional)
Mg  0.0000  0.0000  0.0000
V  0.1492  0.3048  0.3048
V  0.3509  0.8950  0.8950
V  0.6491  0.8950  0.8950
V  0.8508  0.3048  0.3048
O  0.0000  0.4080  0.4080
O  0.1200  0.1468  0.1468
O  0.1729  0.8679  0.8679
O  0.3192  0.3476  0.3476
O  0.3678  0.0488  0.0488
O  0.5000  0.8300  0.8300
O  0.6322  0.0488  0.0488
O  0.6808  0.3476  0.3476
O  0.8271  0.8679  0.8679
O  0.8800  0.1468  0.1468